# RbLaPd
Simulated powder X-ray diffraction pattern, Cu Ka. Input: a crystal structure in Alexandria, relaxed with PBE.
Peak positions follow from Bragg's law for the DFT cell and can differ from measured ones.

```
data_RbLaPd
_cell_length_a 4.459
_cell_length_b 5.779
_cell_length_c 10.757
_cell_angle_alpha 90.00
_cell_angle_beta 90.00
_cell_angle_gamma 90.00
_space_group_name_H-M_alt 'P m m n'
_space_group_IT_number 59
loop_
_space_group_symop_operation_xyz
'x,y,z'
'-x,-y,-z'
'-x+1/2,-y+1/2,z'
'x+1/2,y+1/2,-z'
'x+1/2,-y,-z'
'-x+1/2,y,z'
'-x,y+1/2,-z'
'x,-y+1/2,z'
loop_
_atom_site_label
_atom_site_fract_x
_atom_site_fract_y
_atom_site_fract_z
Rb1 0.250 0.250 0.150
La1 0.250 0.250 0.569
Pd1 0.250 0.750 0.608
```

Largest 6 diffraction maxima, most intense first, 10 to 80 degrees two-theta:
26.0 deg, intensity 100, hkl 1 0 2
40.8 deg, intensity 59, hkl 1 2 2
32.0 deg, intensity 44, hkl 1 0 3
31.0 deg, intensity 41, hkl 0 2 0
35.7 deg, intensity 28, hkl 1 1 3
51.8 deg, intensity 21, hkl 2 2 0